# 1
PrTmGa2Pt2: computed powder diffractogram (a wavelength of 1.5418 Å), based on a structure optimized by DFT (GGA-PBE).

Top 8 peaks for 10 to 90 degrees two-theta, by angle:
12.35°, I = 9; 26.12°, I = 25; 34.06°, I = 100; 40.27°, I = 71; 53.74°, I = 27; 66.88°, I = 22; 69.23°, I = 26; 73.19°, I = 12

Structure:
```
data_PrTmGa2Pt2
_cell_length_a 4.480
_cell_length_b 4.480
_cell_length_c 7.165
_cell_angle_alpha 90.00
_cell_angle_beta 90.00
_cell_angle_gamma 120.00
_space_group_name_H-M_alt 'P 1'
_space_group_IT_number 1
_space_group_name_Hall 'P 1'
loop_
_atom_site_label
_atom_site_type_symbol
_atom_site_fract_x
_atom_site_fract_y
_atom_site_fract_z
_atom_site_occupancy
Pr1 Pr 0.000 0.000 0.000 1
Tm1 Tm 0.000 0.000 0.500 1
Ga1 Ga 0.333 0.667 0.279 1
Ga2 Ga 0.667 0.333 0.721 1
Pt1 Pt 0.333 0.667 0.719 1
Pt2 Pt 0.667 0.333 0.281 1
```

# 2
Sc3Se4: computed powder diffractogram (a wavelength of 1.5418 Å), based on a structure optimized by DFT (GGA-PBE).

Top 8 peaks for 10 to 90 degrees two-theta, by angle:
28.17°, I = 24; 32.34°, I = 100; 45.71°, I = 34; 47.05°, I = 34; 58.25°, I = 17; 76.02°, I = 13; 78.02°, I = 14; 86.50°, I = 11

Structure:
```
data_Sc3Se4
_cell_length_a 13.340
_cell_length_b 13.340
_cell_length_c 13.340
_cell_angle_alpha 16.65
_cell_angle_beta 16.65
_cell_angle_gamma 16.65
_space_group_name_H-M_alt 'P 1'
_space_group_IT_number 1
_space_group_name_Hall 'P 1'
loop_
_atom_site_label
_atom_site_type_symbol
_atom_site_fract_x
_atom_site_fract_y
_atom_site_fract_z
_atom_site_occupancy
Sc1 Sc 0.000 0.000 0.000 1
Sc2 Sc 0.247 0.247 0.247 1
Sc3 Sc 0.753 0.753 0.753 1
Se1 Se 0.121 0.121 0.121 1
Se2 Se 0.374 0.374 0.374 1
Se3 Se 0.626 0.626 0.626 1
Se4 Se 0.879 0.879 0.879 1
```

# 3
Sc12TcC7: computed powder diffractogram (a wavelength of 1.5418 Å), based on a structure optimized by DFT (GGA-PBE).

Top 8 peaks for 10 to 90 degrees two-theta, by angle:
14.04°, I = 20; 14.97°, I = 28; 33.45°, I = 97; 33.58°, I = 32; 38.85°, I = 100; 56.02°, I = 29; 56.21°, I = 30; 66.89°, I = 33

Structure:
```
data_Sc12TcC7
_cell_length_a 7.337
_cell_length_b 7.337
_cell_length_c 7.337
_cell_angle_alpha 107.55
_cell_angle_beta 107.55
_cell_angle_gamma 107.55
_space_group_name_H-M_alt 'P 1'
_space_group_IT_number 1
_space_group_name_Hall 'P 1'
loop_
_atom_site_label
_atom_site_type_symbol
_atom_site_fract_x
_atom_site_fract_y
_atom_site_fract_z
_atom_site_occupancy
Sc1 Sc 0.056 0.344 0.128 1
Sc2 Sc 0.128 0.056 0.344 1
Sc3 Sc 0.188 0.713 0.570 1
Sc4 Sc 0.287 0.430 0.812 1
Sc5 Sc 0.344 0.128 0.056 1
Sc6 Sc 0.430 0.812 0.287 1
Sc7 Sc 0.570 0.188 0.713 1
Sc8 Sc 0.656 0.872 0.944 1
Sc9 Sc 0.713 0.570 0.188 1
Sc10 Sc 0.812 0.287 0.430 1
Sc11 Sc 0.872 0.944 0.656 1
Sc12 Sc 0.944 0.656 0.872 1
Tc1 Tc 0.500 0.500 0.500 1
C1 C 0.000 0.000 0.000 1
C2 C 0.156 0.385 0.466 1
C3 C 0.385 0.466 0.156 1
C4 C 0.466 0.156 0.385 1
C5 C 0.534 0.844 0.615 1
C6 C 0.615 0.534 0.844 1
C7 C 0.844 0.615 0.534 1
```

# 4
Dy2CdPd3: computed powder diffractogram (a wavelength of 1.5418 Å), based on a structure optimized by DFT (GGA-PBE).

Top 8 peaks for 10 to 90 degrees two-theta, by angle:
33.38°, I = 100; 33.75°, I = 58; 34.69°, I = 34; 36.81°, I = 40; 37.15°, I = 57; 40.95°, I = 29; 41.88°, I = 27; 47.83°, I = 39

Structure:
```
data_Dy2CdPd3
_cell_length_a 7.421
_cell_length_b 3.803
_cell_length_c 17.633
_cell_angle_alpha 90.00
_cell_angle_beta 90.00
_cell_angle_gamma 90.00
_space_group_name_H-M_alt 'P 1'
_space_group_IT_number 1
_space_group_name_Hall 'P 1'
loop_
_atom_site_label
_atom_site_type_symbol
_atom_site_fract_x
_atom_site_fract_y
_atom_site_fract_z
_atom_site_occupancy
Dy1 Dy 0.107 0.250 0.212 1
Dy2 Dy 0.153 0.250 0.427 1
Dy3 Dy 0.347 0.750 0.927 1
Dy4 Dy 0.393 0.750 0.712 1
Dy5 Dy 0.607 0.250 0.288 1
Dy6 Dy 0.653 0.250 0.073 1
Dy7 Dy 0.847 0.750 0.573 1
Dy8 Dy 0.893 0.750 0.788 1
Cd1 Cd 0.014 0.750 0.064 1
Cd2 Cd 0.486 0.250 0.564 1
Cd3 Cd 0.514 0.750 0.436 1
Cd4 Cd 0.986 0.250 0.936 1
Pd1 Pd 0.084 0.250 0.659 1
Pd2 Pd 0.205 0.250 0.810 1
Pd3 Pd 0.220 0.750 0.552 1
Pd4 Pd 0.280 0.250 0.052 1
Pd5 Pd 0.295 0.750 0.310 1
Pd6 Pd 0.416 0.750 0.159 1
Pd7 Pd 0.584 0.250 0.841 1
Pd8 Pd 0.705 0.250 0.690 1
Pd9 Pd 0.720 0.750 0.948 1
Pd10 Pd 0.780 0.250 0.448 1
Pd11 Pd 0.795 0.750 0.190 1
Pd12 Pd 0.916 0.750 0.341 1
```